Calculated XRD peak list of ErLu2Fe8Co for Cu Kα (λ = 1.5418 Å), from a crystal structure in OQMD, relaxed with PBE.
No peak broadening, texture or thermal motion is included.

Structural model:
```
ErLu2Fe8Co
1.0
2.5034 1.4453 8.0061
-2.5034 1.4453 8.0061
0.0000 -2.8906 8.0061
Er Lu Fe Co
1 2 8 1
Direct
0.0000 0.0000 0.0000
0.1421 0.1421 0.1421
0.8579 0.8579 0.8579
0.0810 0.5832 0.5832
0.3329 0.3329 0.3329
0.4168 0.4168 0.9190
0.4168 0.9190 0.4168
0.5832 0.0810 0.5832
0.5832 0.5832 0.0810
0.6671 0.6671 0.6671
0.9190 0.4168 0.4168
0.5000 0.5000 0.5000
```

Top 12 peaks for 10 to 90 degrees two-theta, by angle:
2θ (°), I/Imax
20.82, 17
33.30, 54
35.87, 59
36.40, 36
41.84, 38
42.60, 100
46.57, 12
62.84, 18
64.81, 13
69.10, 23
69.92, 13
76.04, 20